La2Pm6Dy: theoretical powder diffractogram (a wavelength of 1.5418 Å), based on a DFT-relaxed cell (PBE, Alexandria).

Peak list (6 most intense, 10 to 90 degrees two-theta, in order of rising 2θ)
Position (°2θ)  Rel. int.  hkl
28.17  459  1 0 0
29.52  462  0 0 9
31.14  602  1 0 4
32.70  1000  1 0 5
49.85  361  1 1 0
59.01  391  1 1 9

Crystal structure
```
La2Pm6Dy
1.0
3.6583 0.0000 0.0000
-1.8291 3.1682 0.0000
0.0000 0.0000 27.2303
La Pm Dy
2 6 1
direct
0.0000 0.0000 0.1708
0.0000 0.0000 0.8292
0.0000 0.0000 0.3938
0.0000 0.0000 0.6062
0.6667 0.3333 0.0621
0.6667 0.3333 0.2857
0.6667 0.3333 0.7143
0.6667 0.3333 0.9379
0.6667 0.3333 0.5000
```



NaCd3Bi3: theoretical powder diffractogram (a wavelength of 1.5418 Å), based on a DFT-relaxed cell (PBE, Alexandria).

Peak list (6 most intense, 10 to 90 degrees two-theta, in order of rising 2θ)
Position (°2θ)  Rel. int.  hkl
20.32  711  2 1 0
26.17  709  1 0 1
32.42  1000  1 2 1
35.58  851  4 1 0
40.17  967  4 0 1
46.83  520  5 0 1

Crystal structure
```
NaCd3Bi3
1.0
13.3505 0.0000 0.0000
-6.6753 11.5619 0.0000
0.0000 0.0000 3.5638
Na Cd Bi
2 6 6
direct
0.3333 0.6667 0.2500
0.6667 0.3333 0.7500
0.1076 0.4351 0.7500
0.3276 0.8924 0.7500
0.4351 0.3276 0.2500
0.5649 0.6724 0.7500
0.6724 0.1076 0.2500
0.8924 0.5649 0.2500
0.1099 0.6659 0.7500
0.3341 0.4441 0.7500
0.4441 0.1099 0.2500
0.5559 0.8901 0.7500
0.6659 0.5559 0.2500
0.8901 0.3341 0.2500
```



Ce2Mg6Hg3: theoretical powder diffractogram (a wavelength of 1.5418 Å), based on a DFT-relaxed cell (PBE, Alexandria).

Peak list (6 most intense, 10 to 90 degrees two-theta, in order of rising 2θ)
Position (°2θ)  Rel. int.  hkl
11.95  336  1 0 0
20.78  420  1 1 0
29.00  1000  1 1 1
31.47  354  2 0 1
36.41  281  3 0 0
38.01  304  2 1 1

Crystal structure
```
Ce2Mg6Hg3
1.0
8.5491 0.0000 0.0000
-4.2745 7.4037 0.0000
0.0000 0.0000 4.4377
Ce Mg Hg
2 6 3
direct
0.3333 0.6667 0.0000
0.6667 0.3333 0.0000
0.0000 0.2839 0.5000
0.0000 0.7975 0.0000
0.2025 0.2025 0.0000
0.2839 0.0000 0.5000
0.7161 0.7161 0.5000
0.7975 0.0000 0.0000
0.0000 0.6039 0.5000
0.3961 0.3961 0.5000
0.6039 0.0000 0.5000
```



Please write out number 1 again, unchanged.
La2Pm6Dy: theoretical powder diffractogram (a wavelength of 1.5418 Å), based on a DFT-relaxed cell (PBE, Alexandria).

Peak list (6 most intense, 10 to 90 degrees two-theta, in order of rising 2θ)
Position (°2θ)  Rel. int.  hkl
28.17  459  1 0 0
29.52  462  0 0 9
31.14  602  1 0 4
32.70  1000  1 0 5
49.85  361  1 1 0
59.01  391  1 1 9

Crystal structure
```
La2Pm6Dy
1.0
3.6583 0.0000 0.0000
-1.8291 3.1682 0.0000
0.0000 0.0000 27.2303
La Pm Dy
2 6 1
direct
0.0000 0.0000 0.1708
0.0000 0.0000 0.8292
0.0000 0.0000 0.3938
0.0000 0.0000 0.6062
0.6667 0.3333 0.0621
0.6667 0.3333 0.2857
0.6667 0.3333 0.7143
0.6667 0.3333 0.9379
0.6667 0.3333 0.5000
```